Li3PmPd4: calculated powder XRD pattern (Cu Kα (λ = 1.5418 Å)), based on a structure optimized by DFT (PBE).
Kinematic intensities with the Lorentz-polarization factor, no thermal factor.

Structural model:
```
data_Li3PmPd4
_chemical_formula_sum 'Li3 Pm1 Pd4'
_symmetry_space_group_name_H-M 'P 4/m m m'
_symmetry_Int_Tables_number 123
_symmetry_space_group_name_Hall '-P 4 2'
_cell_length_a 4.292
_cell_length_b 4.292
_cell_length_c 6.969
_cell_angle_alpha 90.00
_cell_angle_beta 90.00
_cell_angle_gamma 90.00
loop_
_atom_site_label
_atom_site_type_symbol
_atom_site_fract_x
_atom_site_fract_y
_atom_site_fract_z
Li1 Li 0.000 0.000 0.000
Li2 Li 0.000 0.000 0.500
Li3 Li 0.500 0.500 0.000
Pm1 Pm 0.500 0.500 0.500
Pd1 Pd 0.000 0.500 0.220
```

Principal peaks in the range 10 to 90 degrees two-theta, by angle:
- 3.655 Å, I 22
- 3.035 Å, I 26
- 2.783 Å, I 27
- 2.289 Å, I 100
- 2.146 Å, I 46
- 1.265 Å, I 29

=====

Rb2ErPbO4: calculated powder XRD pattern (Cu Kα (λ = 1.5418 Å)), based on a structure optimized by DFT (PBE).
Kinematic intensities with the Lorentz-polarization factor, no thermal factor.

Structural model:
```
data_Rb2ErPbO4
_chemical_formula_sum 'Rb4 Er2 Pb2 O8'
_symmetry_space_group_name_H-M 'C 1 2 1'
_symmetry_Int_Tables_number 5
_symmetry_space_group_name_Hall 'C 2y'
_cell_length_a 8.887
_cell_length_b 9.281
_cell_length_c 6.290
_cell_angle_alpha 90.00
_cell_angle_beta 134.92
_cell_angle_gamma 90.00
loop_
_atom_site_label
_atom_site_type_symbol
_atom_site_fract_x
_atom_site_fract_y
_atom_site_fract_z
Rb1 Rb 0.000 0.000 0.000
Rb2 Rb 0.000 0.250 0.500
Er1 Er 0.000 0.499 0.000
Pb1 Pb 0.000 0.750 0.500
O1 O 0.156 0.621 0.397
O2 O 0.240 0.377 0.084
```

Principal peaks in the range 10 to 90 degrees two-theta, by angle:
- 5.208 Å, I 27
- 3.211 Å, I 100
- 3.146 Å, I 39
- 2.224 Å, I 20
- 1.867 Å, I 24
- 1.829 Å, I 40

=====

Li2HgS: calculated powder XRD pattern (Cu Kα (λ = 1.5418 Å)), based on a structure optimized by DFT (PBE).
Kinematic intensities with the Lorentz-polarization factor, no thermal factor.

Structural model:
```
data_Li2HgS
_chemical_formula_sum 'Li6 Hg3 S3'
_symmetry_space_group_name_H-M 'R 3 m'
_symmetry_Int_Tables_number 160
_symmetry_space_group_name_Hall 'R 3 -2"'
_cell_length_a 3.8978
_cell_length_b 3.8978
_cell_length_c 20.3944
_cell_angle_alpha 90.00
_cell_angle_beta 90.00
_cell_angle_gamma 120.00
loop_
_atom_site_label
_atom_site_type_symbol
_atom_site_fract_x
_atom_site_fract_y
_atom_site_fract_z
Li1 Li 0.0000 0.0000 0.0000
Li2 Li 0.0000 0.0000 0.2534
Hg1 Hg 0.0000 0.0000 0.4499
S1 S 0.0000 0.0000 0.6257
```

Principal peaks in the range 10 to 90 degrees two-theta, by angle:
- 6.798 Å, I 88
- 3.399 Å, I 42
- 3.330 Å, I 100
- 3.205 Å, I 66
- 2.815 Å, I 54
- 2.601 Å, I 61

=====

Please write out number 3 again, unchanged.
Li2HgS: calculated powder XRD pattern (Cu Kα (λ = 1.5418 Å)), based on a structure optimized by DFT (PBE).
Kinematic intensities with the Lorentz-polarization factor, no thermal factor.

Structural model:
```
data_Li2HgS
_chemical_formula_sum 'Li6 Hg3 S3'
_symmetry_space_group_name_H-M 'R 3 m'
_symmetry_Int_Tables_number 160
_symmetry_space_group_name_Hall 'R 3 -2"'
_cell_length_a 3.8978
_cell_length_b 3.8978
_cell_length_c 20.3944
_cell_angle_alpha 90.00
_cell_angle_beta 90.00
_cell_angle_gamma 120.00
loop_
_atom_site_label
_atom_site_type_symbol
_atom_site_fract_x
_atom_site_fract_y
_atom_site_fract_z
Li1 Li 0.0000 0.0000 0.0000
Li2 Li 0.0000 0.0000 0.2534
Hg1 Hg 0.0000 0.0000 0.4499
S1 S 0.0000 0.0000 0.6257
```

Principal peaks in the range 10 to 90 degrees two-theta, by angle:
- 6.798 Å, I 88
- 3.399 Å, I 42
- 3.330 Å, I 100
- 3.205 Å, I 66
- 2.815 Å, I 54
- 2.601 Å, I 61